Diffraction record for CePrThCd. The PXRD pattern is theoretical, not measured: it uses a structure optimized by DFT (PBE) and Cu Kα, 1.54184 Å.
Lines closer than 0.1° are merged.

Structural model:
```
data_CePrThCd
_chemical_formula_sum 'Ce4 Pr4 Th4 Cd4'
_cell_length_a 7.7412
_cell_length_b 7.7412
_cell_length_c 7.7412
_cell_angle_alpha 90.00
_cell_angle_beta 90.00
_cell_angle_gamma 90.00
_symmetry_space_group_name_H-M 'F -4 3 m'
_symmetry_Int_Tables_number 216
_symmetry_space_group_name_Hall 'F -4 2 3'
loop_
_atom_site_label
_atom_site_fract_x
_atom_site_fract_y
_atom_site_fract_z
_atom_site_occupancy
Ce1 0.0000 0.0000 0.0000 1
Pr1 0.2500 0.2500 0.7500 1
Th1 0.2500 0.2500 0.2500 1
Cd1 0.0000 0.0000 0.5000 1
```

Principal peaks in the range 5° ≤ 2θ ≤ 70°, by angle:
(1 1 1), d = 4.469 Å, I = 4; (2 0 0), d = 3.871 Å, I = 4; (2 2 0), d = 2.737 Å, I = 100; (3 1 1), d = 2.334 Å, I = 2; (4 0 0), d = 1.935 Å, I = 18; (4 2 0), d = 1.731 Å, I = 2; (4 2 2), d = 1.580 Å, I = 38; (4 4 0), d = 1.368 Å, I = 12